(1)
This entry pairs a crystal structure of CaMg14B with its simulated powder XRD pattern. Radiation: Cu Kα X-rays. Structure: a cell relaxed with PBE.

Peak list (6 most intense, 2θ from 10° to 90°, low angle first)
Position (°2θ), intensity
33.1, 35
34.9, 44
36.0, 69
37.5, 100
48.8, 20
68.5, 17

Structure:
Lattice parameters (Å, degrees): 10.294 6.487 6.487 56.59 90.00 90.00
Element x y z (fractional)
Ca  0.000  0.000  0.000
Mg  0.000  0.018  0.494
Mg  0.000  0.494  0.018
Mg  0.221  0.636  0.636
Mg  0.249  0.151  0.641
Mg  0.249  0.641  0.151
Mg  0.263  0.149  0.149
Mg  0.500  0.485  0.485
Mg  0.500  0.488  0.978
Mg  0.500  0.978  0.488
Mg  0.500  0.980  0.980
Mg  0.737  0.149  0.149
Mg  0.751  0.151  0.641
Mg  0.751  0.641  0.151
Mg  0.779  0.636  0.636
B  0.000  0.431  0.431

(2)
This entry pairs a crystal structure of MnAlV2 with its simulated powder XRD pattern. Radiation: Cu Kα X-rays. Structure: a cell relaxed with PBE.

Peak list (6 most intense, 2θ from 10° to 90°, low angle first)
Position (°2θ), intensity
25.9, 5
30.0, 4
43.0, 100
50.9, 2
62.5, 15
78.8, 29

Structure:
Lattice parameters (Å, degrees): 5.948 5.948 5.948 90.00 90.00 90.00
Element x y z (fractional)
Mn  0.000  0.000  0.000
Mn  0.000  0.500  0.500
Mn  0.500  0.000  0.500
Mn  0.500  0.500  0.000
Al  0.250  0.250  0.250
Al  0.250  0.750  0.750
Al  0.750  0.250  0.750
Al  0.750  0.750  0.250
V  0.000  0.000  0.500
V  0.000  0.500  0.000
V  0.250  0.250  0.750
V  0.250  0.750  0.250
V  0.500  0.000  0.000
V  0.500  0.500  0.500
V  0.750  0.250  0.250
V  0.750  0.750  0.750